For BeZnGa2, the GGA-PBE geometry in Alexandria gives the calculated X-ray powder pattern in this record (Cu Kα).

Atomic structure:
```
data_BeZnGa2
_cell_length_a 3.9778
_cell_length_b 3.9778
_cell_length_c 13.8780
_cell_angle_alpha 90.00
_cell_angle_beta 90.00
_cell_angle_gamma 120.00
_symmetry_space_group_name_H-M 'R 3 m'
_symmetry_Int_Tables_number 160
_symmetry_space_group_name_Hall 'R 3 -2"'
loop_
_atom_site_label
_atom_site_type_symbol
_atom_site_fract_x
_atom_site_fract_y
_atom_site_fract_z
Be1 Be 0.0000 0.0000 0.0000
Zn1 Zn 0.0000 0.0000 0.1740
Ga1 Ga 0.0000 0.0000 0.3982
Ga2 Ga 0.0000 0.0000 0.6073
```

Most intense lines, 2θ = 15–90°, in order of falling intensity:
index  Position (°2θ)  d [Å]  I_rel
0 1 5  41.8  2.161  100
1 0 4  36.8  2.445  94
1 1 0  45.6  1.989  94
1 0 1  26.7  3.343  79
1 1 9  78.5  1.219  47
0 0 9  60.0  1.543  32
2 0 5  63.6  1.464  27
1 2 5  81.7  1.179  26
0 1 2  28.9  3.086  24
3 0 0  84.3  1.148  15
0 2 1  53.6  1.709  11
1 0 10  73.6  1.287  9

***

For Ca2CoTc, the GGA-PBE geometry in Alexandria gives the calculated X-ray powder pattern in this record (Cu Kα).

Atomic structure:
```
data_Ca2CoTc
_cell_length_a 3.2438
_cell_length_b 3.2438
_cell_length_c 8.6118
_cell_angle_alpha 90.00
_cell_angle_beta 90.00
_cell_angle_gamma 90.00
_symmetry_space_group_name_H-M 'P 4 m m'
_symmetry_Int_Tables_number 99
_symmetry_space_group_name_Hall 'P 4 -2'
loop_
_atom_site_label
_atom_site_type_symbol
_atom_site_fract_x
_atom_site_fract_y
_atom_site_fract_z
Ca1 Ca 0.0000 0.0000 0.0000
Ca2 Ca 0.5000 0.5000 0.3964
Co1 Co 0.0000 0.0000 0.6401
Tc1 Tc 0.5000 0.5000 0.7444
```

Most intense lines, 2θ = 15–90°, in order of falling intensity:
index  Position (°2θ)  d [Å]  I_rel
1 0 2  34.6  2.591  100
1 1 0  39.3  2.294  91
1 0 3  42.0  2.150  86
1 1 3  51.0  1.792  46
1 1 1  40.7  2.216  44
0 0 3  31.2  2.871  39
2 1 3  73.1  1.295  32
2 0 0  56.8  1.622  29
2 1 2  68.2  1.375  25
1 0 6  71.9  1.313  23
1 0 5  60.9  1.521  22
0 0 2  20.6  4.306  16

***

For BaTeH2, the GGA-PBE geometry in Alexandria gives the calculated X-ray powder pattern in this record (Cu Kα).

Atomic structure:
```
data_BaTeH2
_cell_length_a 4.8960
_cell_length_b 4.9388
_cell_length_c 9.8879
_cell_angle_alpha 90.00
_cell_angle_beta 90.26
_cell_angle_gamma 90.00
_symmetry_space_group_name_H-M 'P 1 21/m 1'
_symmetry_Int_Tables_number 11
_symmetry_space_group_name_Hall '-P 2yb'
loop_
_atom_site_label
_atom_site_type_symbol
_atom_site_fract_x
_atom_site_fract_y
_atom_site_fract_z
Ba1 Ba 0.2485 0.2500 0.3299
Te1 Te 0.2515 0.2500 0.6789
H1 H 0.2459 0.6736 0.9673
```

Most intense lines, 2θ = 15–90°, in order of falling intensity:
index  Position (°2θ)  d [Å]  I_rel
1 1 0  25.6  3.477  100
0 0 3  27.1  3.296  44
1 1 -3  37.5  2.396  43
1 1 2  31.5  2.844  42
1 1 -1  27.2  3.280  39
0 0 2  17.9  4.944  39
1 1 3  37.7  2.388  35
0 2 3  45.9  1.976  25
0 2 0  36.4  2.470  23
2 0 0  36.7  2.448  20
2 2 0  52.6  1.738  14
1 1 6  62.4  1.488  13

***

For Zr3TcHg, the GGA-PBE geometry in Alexandria gives the calculated X-ray powder pattern in this record (Cu Kα).

Atomic structure:
```
data_Zr3TcHg
_cell_length_a 5.0281
_cell_length_b 5.0281
_cell_length_c 5.0281
_cell_angle_alpha 90.00
_cell_angle_beta 90.00
_cell_angle_gamma 90.00
_symmetry_space_group_name_H-M 'P m -3 m'
_symmetry_Int_Tables_number 221
_symmetry_space_group_name_Hall '-P 4 2 3'
loop_
_atom_site_label
_atom_site_type_symbol
_atom_site_fract_x
_atom_site_fract_y
_atom_site_fract_z
Zr1 Zr 0.0000 0.0000 0.5000
Tc1 Tc 0.0000 0.0000 0.0000
Hg1 Hg 0.5000 0.5000 0.5000
```

Most intense lines, 2θ = 15–90°, in order of falling intensity:
index  Position (°2θ)  d [Å]  I_rel
2 0 0  35.7  2.514  100
1 1 1  30.8  2.903  85
2 2 0  51.4  1.778  70
1 1 0  25.0  3.555  63
3 1 1  61.1  1.516  35
4 2 0  86.6  1.124  32
2 1 1  44.1  2.053  29
2 2 2  64.2  1.451  24
3 2 1  70.0  1.344  15
3 3 1  83.9  1.154  15
3 1 0  58.0  1.590  13
4 0 0  75.7  1.257  11

***

For Tb3Zn2Au3, the GGA-PBE geometry in Alexandria gives the calculated X-ray powder pattern in this record (Cu Kα).

Atomic structure:
```
data_Tb3Zn2Au3
_cell_length_a 8.5658
_cell_length_b 8.5658
_cell_length_c 5.6627
_cell_angle_alpha 90.00
_cell_angle_beta 90.00
_cell_angle_gamma 120.00
_symmetry_space_group_name_H-M 'P 63/m c m'
_symmetry_Int_Tables_number 193
_symmetry_space_group_name_Hall '-P 6c 2'
loop_
_atom_site_label
_atom_site_type_symbol
_atom_site_fract_x
_atom_site_fract_y
_atom_site_fract_z
Tb1 Tb 0.0000 0.2760 0.2500
Zn1 Zn 0.3333 0.6667 0.0000
Au1 Au 0.0000 0.3852 0.7500
```

Most intense lines, 2θ = 15–90°, in order of falling intensity:
index  Position (°2θ)  d [Å]  I_rel
2 1 1  35.7  2.513  100
3 0 0  36.3  2.473  80
1 1 2  38.1  2.362  71
1 1 0  20.7  4.283  46
0 0 2  31.6  2.831  44
3 1 1  47.0  1.934  38
3 0 2  48.9  1.862  32
4 2 1  69.0  1.361  25
2 1 3  59.0  1.566  24
3 0 4  77.7  1.229  18
5 1 1  72.9  1.297  16
3 2 1  56.5  1.630  15

***

For DyY2Ho9, the GGA-PBE geometry in Alexandria gives the calculated X-ray powder pattern in this record (Cu Kα).

Atomic structure:
```
data_DyY2Ho9
_cell_length_a 4.9993
_cell_length_b 4.9993
_cell_length_c 15.0009
_cell_angle_alpha 90.00
_cell_angle_beta 90.00
_cell_angle_gamma 90.00
_symmetry_space_group_name_H-M 'P 4/m m m'
_symmetry_Int_Tables_number 123
_symmetry_space_group_name_Hall '-P 4 2'
loop_
_atom_site_label
_atom_site_type_symbol
_atom_site_fract_x
_atom_site_fract_y
_atom_site_fract_z
Dy1 Dy 0.0000 0.0000 0.0000
Y1 Y 0.0000 0.0000 0.3331
Ho1 Ho 0.0000 0.5000 0.1659
Ho2 Ho 0.0000 0.5000 0.5000
Ho3 Ho 0.5000 0.5000 0.0000
Ho4 Ho 0.5000 0.5000 0.3331
```

Most intense lines, 2θ = 15–90°, in order of falling intensity:
index  Position (°2θ)  d [Å]  I_rel
1 1 3  31.0  2.887  100
2 0 0  35.9  2.500  51
3 1 3  61.5  1.507  42
2 2 0  51.7  1.768  36
3 3 3  84.5  1.147  18
4 2 0  87.2  1.118  17
2 2 6  64.6  1.443  12
4 0 0  76.2  1.250  6
1 0 0  17.7  5.000  2
1 1 0  25.2  3.535  2
2 1 0  40.3  2.236  1
2 1 3  44.4  2.041  1